[1]
This entry pairs a crystal structure of CaV4O9 with its calculated X-ray powder pattern. Radiation: CuKα. Structure: a DFT-relaxed cell (GGA+U, Alexandria).
Lines closer than 0.1° are merged.

Structural model:
```
data_CaV4O9
_chemical_formula_sum 'Ca2 V8 O18'
_cell_length_a 8.429
_cell_length_b 8.429
_cell_length_c 5.188
_cell_angle_alpha 90.00
_cell_angle_beta 90.00
_cell_angle_gamma 90.00
_symmetry_space_group_name_H-M 'P 4/n'
_symmetry_Int_Tables_number 85
loop_
_symmetry_equiv_pos_as_xyz
'x,y,z'
'-x,-y,-z'
'-y+1/2,x,z'
'y+1/2,-x,-z'
'-x+1/2,-y+1/2,z'
'x+1/2,y+1/2,-z'
'y,-x+1/2,z'
'-y,x+1/2,-z'
loop_
_atom_site_label
_atom_site_fract_x
_atom_site_fract_y
_atom_site_fract_z
Ca1 0.250 0.250 0.158
V1 0.035 0.659 0.373
O1 0.004 0.320 0.937
O2 0.043 0.143 0.461
O3 0.250 0.750 0.500
```

Main lines, by intensity (10 to 90 degrees two-theta):
hkl 2 1 1, 29.29°, 3.050 Å, rel. 100; hkl 0 0 1, 17.09°, 5.188 Å, rel. 48; hkl 1 3 0, 33.62°, 2.666 Å, rel. 40; hkl 4 2 0, 48.29°, 1.885 Å, rel. 32; hkl 3 4 1, 57.46°, 1.604 Å, rel. 25; hkl 2 1 2, 42.29°, 2.137 Å, rel. 19; hkl 1 1 1, 22.72°, 3.913 Å, rel. 14; hkl 4 2 1, 51.59°, 1.772 Å, rel. 13


[2]
This entry pairs a crystal structure of CaV2O6 with its calculated X-ray powder pattern. Radiation: CuKα. Structure: a DFT-relaxed cell (GGA+U, Alexandria).
Lines closer than 0.1° are merged.

Structural model:
```
data_CaV2O6
_chemical_formula_sum 'Ca2 V4 O12'
_cell_length_a 6.682
_cell_length_b 6.168
_cell_length_c 6.084
_cell_angle_alpha 90.00
_cell_angle_beta 90.00
_cell_angle_gamma 90.00
_symmetry_space_group_name_H-M 'P m n 21'
_symmetry_Int_Tables_number 31
_symmetry_space_group_name_Hall 'P 2ac -2'
loop_
_atom_site_label
_atom_site_fract_x
_atom_site_fract_y
_atom_site_fract_z
Ca1 0.000 0.151 0.000
V1 0.249 0.695 0.989
O1 0.000 0.252 0.372
O2 0.000 0.768 0.881
O3 0.242 0.129 0.702
O4 0.242 0.445 0.098
```

Main lines, by intensity (10 to 90 degrees two-theta):
hkl 0 1 1, 20.51°, 4.331 Å, rel. 100; hkl 2 1 1, 33.88°, 2.645 Å, rel. 87; hkl 4 0 0, 55.00°, 1.670 Å, rel. 51; hkl 0 0 2, 29.36°, 3.042 Å, rel. 44; hkl 0 2 1, 32.55°, 2.751 Å, rel. 32; hkl 2 0 0, 26.68°, 3.341 Å, rel. 31; hkl 1 0 1, 19.73°, 4.499 Å, rel. 31; hkl 0 2 0, 28.95°, 3.084 Å, rel. 29


[3]
This entry pairs a crystal structure of Ca2V2O9 with its calculated X-ray powder pattern. Radiation: CuKα. Structure: a DFT-relaxed cell (GGA+U, Alexandria).
Lines closer than 0.1° are merged.

Structural model:
```
data_Ca2V2O9
_chemical_formula_sum 'Ca4 V4 O18'
_cell_length_a 6.628
_cell_length_b 8.580
_cell_length_c 8.621
_cell_angle_alpha 67.80
_cell_angle_beta 89.77
_cell_angle_gamma 67.32
_symmetry_space_group_name_H-M 'P -1'
_symmetry_Int_Tables_number 2
_symmetry_space_group_name_Hall '-P 1'
loop_
_atom_site_label
_atom_site_fract_x
_atom_site_fract_y
_atom_site_fract_z
Ca1 0.130 0.046 0.298
Ca2 0.323 0.045 0.799
V1 0.260 0.742 0.145
V2 0.499 0.741 0.644
O1 0.063 0.804 0.267
O2 0.068 0.569 0.690
O3 0.137 0.791 0.950
O4 0.138 0.427 0.822
O5 0.221 0.897 0.604
O6 0.369 0.195 0.234
O7 0.381 0.899 0.106
O8 0.421 0.212 0.549
O9 0.451 0.501 0.249
```

Main lines, by intensity (10 to 90 degrees two-theta):
hkl 0 1 0, 12.24°, 7.228 Å, rel. 100; hkl -1 2 1, 31.33°, 2.855 Å, rel. 79; hkl 0 0 2, 22.59°, 3.936 Å, rel. 70; hkl -1 2 2, 32.94°, 2.719 Å, rel. 57; hkl 2 1 1, 29.19°, 3.060 Å, rel. 55; hkl 0 1 -2, 29.94°, 2.985 Å, rel. 52; hkl 2 1 -1, 29.29°, 3.049 Å, rel. 50; hkl 1 2 2, 26.34°, 3.383 Å, rel. 45


[4]
This entry pairs a crystal structure of CaVWO6 with its calculated X-ray powder pattern. Radiation: CuKα. Structure: a DFT-relaxed cell (GGA+U, Alexandria).
Lines closer than 0.1° are merged.

Structural model:
```
data_CaVWO6
_chemical_formula_sum 'Ca2 V2 W2 O12'
_cell_length_a 4.821
_cell_length_b 4.821
_cell_length_c 9.500
_cell_angle_alpha 90.00
_cell_angle_beta 90.00
_cell_angle_gamma 90.00
_symmetry_space_group_name_H-M 'P 42 n m'
_symmetry_Int_Tables_number 102
_symmetry_space_group_name_Hall 'P 4n -2n'
loop_
_atom_site_label
_atom_site_fract_x
_atom_site_fract_y
_atom_site_fract_z
Ca1 0.000 0.000 0.000
V1 0.000 0.000 0.668
W1 0.000 0.000 0.338
O1 0.174 0.174 0.503
O2 0.221 0.221 0.199
O3 0.221 0.221 0.816
```

Main lines, by intensity (10 to 90 degrees two-theta):
hkl 1 1 0, 26.14°, 3.409 Å, rel. 100; hkl 1 0 1, 20.66°, 4.299 Å, rel. 84; hkl 1 0 3, 33.87°, 2.647 Å, rel. 77; hkl 2 1 3, 51.26°, 1.782 Å, rel. 64; hkl 0 0 2, 18.68°, 4.750 Å, rel. 29; hkl 1 1 2, 32.32°, 2.770 Å, rel. 25; hkl 2 1 1, 43.02°, 2.103 Å, rel. 23; hkl 3 0 3, 65.09°, 1.433 Å, rel. 19


[5]
This entry pairs a crystal structure of Ca2YVO5 with its calculated X-ray powder pattern. Radiation: CuKα. Structure: a DFT-relaxed cell (GGA+U, Alexandria).
Lines closer than 0.1° are merged.

Structural model:
```
data_Ca2YVO5
_chemical_formula_sum 'Ca8 Y4 V4 O20'
_cell_length_a 15.986
_cell_length_b 5.714
_cell_length_c 5.516
_cell_angle_alpha 90.00
_cell_angle_beta 90.00
_cell_angle_gamma 90.00
_symmetry_space_group_name_H-M 'I m a 2'
_symmetry_Int_Tables_number 46
_symmetry_space_group_name_Hall 'I 2 -2a'
loop_
_atom_site_label
_atom_site_fract_x
_atom_site_fract_y
_atom_site_fract_z
Ca1 0.100 0.028 0.000
Y1 0.250 0.544 0.034
V1 0.000 0.000 0.474
O1 0.020 0.746 0.227
O2 0.130 0.084 0.439
O3 0.250 0.585 0.434
```

Main lines, by intensity (10 to 90 degrees two-theta):
hkl 4 1 1, 31.78°, 2.816 Å, rel. 100; hkl 0 0 2, 32.46°, 2.758 Å, rel. 42; hkl 0 2 2, 45.72°, 1.985 Å, rel. 41; hkl 0 2 0, 31.31°, 2.857 Å, rel. 38; hkl 2 1 1, 25.05°, 3.555 Å, rel. 23; hkl 0 1 1, 22.40°, 3.969 Å, rel. 20; hkl 4 1 3, 57.48°, 1.603 Å, rel. 20; hkl 4 3 1, 56.02°, 1.642 Å, rel. 19


[6]
This entry pairs a crystal structure of Ca3WO with its calculated X-ray powder pattern. Radiation: CuKα. Structure: a DFT-relaxed cell (GGA+U, Alexandria).
Lines closer than 0.1° are merged.

Structural model:
```
data_Ca3WO
_chemical_formula_sum 'Ca3 W1 O1'
_cell_length_a 4.930
_cell_length_b 4.930
_cell_length_c 4.930
_cell_angle_alpha 90.00
_cell_angle_beta 90.00
_cell_angle_gamma 90.00
_symmetry_space_group_name_H-M 'P m -3 m'
_symmetry_Int_Tables_number 221
_symmetry_space_group_name_Hall '-P 4 2 3'
loop_
_atom_site_label
_atom_site_fract_x
_atom_site_fract_y
_atom_site_fract_z
Ca1 0.000 0.000 0.500
W1 0.500 0.500 0.500
O1 0.000 0.000 0.000
```

Main lines, by intensity (10 to 90 degrees two-theta):
hkl 1 1 1, 31.43°, 2.846 Å, rel. 100; hkl 1 1 0, 25.55°, 3.486 Å, rel. 72; hkl 2 0 0, 36.45°, 2.465 Å, rel. 62; hkl 1 0 0, 17.99°, 4.930 Å, rel. 47; hkl 2 2 0, 52.50°, 1.743 Å, rel. 42; hkl 3 1 1, 62.48°, 1.487 Å, rel. 40; hkl 2 1 1, 45.04°, 2.013 Å, rel. 32; hkl 2 1 0, 40.93°, 2.205 Å, rel. 26